Starting from a DFT-relaxed cell (PBE+U, Alexandria), the powder diffraction line list of AcV2SeO8 was calculated for Cu Kα (λ = 1.5418 Å).
Intensities are scaled so that the largest is 100.

Crystal structure
a b c (Å): 8.031 8.031 8.031
angles (deg): 36.40 36.40 36.40
Element x y z (fractional)
Ac: 0.000 0.000 0.000
V: 0.247 0.247 0.247
V: 0.753 0.753 0.753
Se: 0.500 0.500 0.500
O: 0.112 0.432 0.771
O: 0.229 0.568 0.888
O: 0.324 0.324 0.324
O: 0.432 0.771 0.112
O: 0.568 0.888 0.229
O: 0.676 0.676 0.676
O: 0.771 0.112 0.432
O: 0.888 0.229 0.568

Top 6 peaks for 10 to 90 degrees two-theta, in order of rising 2θ:
- 21.93 deg, d 4.052, I = 30.4
- 25.92 deg, d 3.437, I = 100.0
- 35.80 deg, d 2.508, I = 44.0
- 38.15 deg, d 2.359, I = 32.7
- 43.42 deg, d 2.084, I = 24.3
- 44.73 deg, d 2.026, I = 23.6